(1)
Structure and simulated X-ray diffraction stick pattern of V2O3F3 (a PBE+U-relaxed structure; Cu Kα X-rays).

The 10 most intense peaks (10 to 90 degrees two-theta), by intensity:
hkl 1 0 2, 23.8 deg, d 3.738, intensity 100; hkl 0 1 2, 23.6 deg, d 3.773, intensity 99; hkl 1 1 -2, 24.1 deg, d 3.690, intensity 96; hkl 2 1 -6, 55.0 deg, d 1.671, intensity 24; hkl 0 2 4, 48.2 deg, d 1.886, intensity 23; hkl 2 2 -4, 49.4 deg, d 1.845, intensity 19; hkl 2 0 4, 48.7 deg, d 1.869, intensity 19; hkl 0 1 -4, 33.7 deg, d 2.658, intensity 14; hkl -1 1 3, 39.8 deg, d 2.263, intensity 13; hkl 2 1 -3, 40.5 deg, d 2.228, intensity 13

Crystal structure
Cell lengths 5.1912, 5.2206, 13.2339 Å; angles 89.01, 89.39, 60.62 degrees
Space group P1 (No. 1)
Symmetry-distinct sites (fractional):
V  0.0000  0.0000  0.0000
V  0.0014  0.9770  0.5118
V  0.3241  0.3285  0.8400
V  0.4001  0.3092  0.3391
V  0.6742  0.6460  0.6697
V  0.7251  0.6733  0.1798
O  0.0417  0.5385  0.7639
O  0.1299  0.2007  0.9357
O  0.3861  0.7202  0.5951
O  0.4728  0.5252  0.2634
O  0.6263  0.9517  0.2609
O  0.7126  0.0544  0.9318
O  0.7271  0.1926  0.4302
O  0.8147  0.8730  0.5937
O  0.9522  0.7185  0.0982
F  0.0362  0.3760  0.2636
F  0.1279  0.6255  0.4319
F  0.2914  0.0476  0.4313
F  0.2927  0.6365  0.9331
F  0.3859  0.8639  0.1000
F  0.4558  0.9566  0.7675
F  0.6322  0.3706  0.7634
F  0.7968  0.2888  0.0994
F  0.9712  0.2911  0.5951

---

(2)
Structure and simulated X-ray diffraction stick pattern of V3O4F2 (a PBE+U-relaxed structure; Cu Kα X-rays).

The 10 most intense peaks (10 to 90 degrees two-theta), by intensity:
hkl 1 1 1, 26.0 deg, d 3.430, intensity 100; hkl -1 1 1, 27.8 deg, d 3.210, intensity 98; hkl 0 2 -1, 34.9 deg, d 2.571, intensity 52; hkl 0 0 3, 35.3 deg, d 2.544, intensity 47; hkl 1 -3 0, 53.6 deg, d 1.710, intensity 27; hkl -1 1 4, 54.4 deg, d 1.686, intensity 26; hkl 1 2 -1, 39.5 deg, d 2.280, intensity 24; hkl 0 2 -4, 60.7 deg, d 1.526, intensity 19; hkl 2 2 2, 53.4 deg, d 1.715, intensity 18; hkl -2 2 2, 57.4 deg, d 1.605, intensity 18

Crystal structure
Cell lengths 4.6941, 5.6338, 7.6645 Å; angles 85.60, 87.18, 87.17 degrees
Space group P1 (No. 1)
Symmetry-distinct sites (fractional):
V  0.0000  0.0000  0.0000
V  0.0009  0.3349  0.6547
V  0.5015  0.8376  0.6619
V  0.5245  0.1899  0.3332
V  0.5305  0.5265  0.0039
V  0.9762  0.6602  0.3223
O  0.3039  0.4920  0.2207
O  0.3087  0.8061  0.8967
O  0.3141  0.1376  0.5636
O  0.6963  0.5338  0.7727
O  0.7040  0.2186  0.0924
O  0.7202  0.8672  0.4282
O  0.8058  0.7097  0.1008
O  0.8125  0.3817  0.4291
F  0.1993  0.3034  0.8939
F  0.1992  0.6382  0.5564
F  0.2051  0.9739  0.2319
F  0.8092  0.0354  0.7622

---

(3)
Structure and simulated X-ray diffraction stick pattern of V6O7F5 (a PBE+U-relaxed structure; Cu Kα X-rays).

The 10 most intense peaks (10 to 90 degrees two-theta), by intensity:
hkl 0 0 2, 25.6 deg, d 3.485, intensity 100; hkl 0 2 0, 27.6 deg, d 3.234, intensity 98; hkl 3 1 1, 35.0 deg, d 2.564, intensity 93; hkl 3 1 3, 51.4 deg, d 1.777, intensity 66; hkl 3 3 1, 53.7 deg, d 1.706, intensity 53; hkl 3 3 3, 66.7 deg, d 1.403, intensity 44; hkl 3 0 2, 39.3 deg, d 2.294, intensity 23; hkl 3 2 0, 40.7 deg, d 2.218, intensity 21; hkl 0 0 4, 52.5 deg, d 1.743, intensity 20; hkl 6 0 0, 60.8 deg, d 1.524, intensity 18

Crystal structure
Cell lengths 9.1450, 6.4671, 6.9700 Å; angles 90.00, 90.00, 90.00 degrees
Space group Amm2 (No. 38)
Symmetry-distinct sites (fractional):
V  0.0000  0.0000  0.0000
V  0.1593  0.0000  0.4587
V  0.3322  0.0000  0.9658
V  0.5000  0.0000  0.4684
O  0.0000  0.0000  0.2707
O  0.1609  0.1972  0.9722
O  0.5000  0.2002  0.9664
F  0.0000  0.0000  0.6672
F  0.3307  0.0000  0.6625
F  0.3334  0.0000  0.2700